(1)
Computed PXRD pattern
Compound: KCaAg
Radiation: copper Kα
Structure: the GGA-PBE geometry in Alexandria
No peak broadening, texture or thermal motion is included.

Cell and atoms:
```
data_KCaAg
_cell_length_a 3.916
_cell_length_b 3.916
_cell_length_c 14.756
_cell_angle_alpha 90.00
_cell_angle_beta 90.00
_cell_angle_gamma 90.00
_symmetry_space_group_name_H-M 'I 4 m m'
_symmetry_Int_Tables_number 107
_symmetry_space_group_name_Hall 'I 4 -2'
loop_
_atom_site_label
_atom_site_fract_x
_atom_site_fract_y
_atom_site_fract_z
K1 0.000 0.000 0.000
Ca1 0.000 0.000 0.737
Ag1 0.000 0.000 0.336
```

Main lines, in order of falling intensity (2θ = 10–80°):
d (Å), Rel. int., h k l
3.064, 100, 1 0 3
7.378, 78, 0 0 2
2.769, 50, 1 1 0
2.357, 33, 1 0 5
1.650, 29, 2 1 3
2.593, 25, 1 1 2
3.785, 19, 1 0 1
1.958, 17, 2 0 0
1.506, 15, 2 1 5
1.856, 12, 1 0 7
1.839, 10, 1 1 6
1.893, 10, 2 0 2

=====

(2)
Computed PXRD pattern
Compound: CaLaAg4
Radiation: copper Kα
Structure: the GGA-PBE geometry in Alexandria
No peak broadening, texture or thermal motion is included.

Cell and atoms:
```
data_CaLaAg4
_cell_length_a 8.793
_cell_length_b 8.203
_cell_length_c 4.821
_cell_angle_alpha 90.00
_cell_angle_beta 123.08
_cell_angle_gamma 90.00
_symmetry_space_group_name_H-M 'C 1 2 1'
_symmetry_Int_Tables_number 5
loop_
_symmetry_equiv_pos_as_xyz
'x,y,z'
'-x,y,-z'
'x+1/2,y+1/2,z'
'-x+1/2,y+1/2,-z'
loop_
_atom_site_label
_atom_site_fract_x
_atom_site_fract_y
_atom_site_fract_z
Ca1 0.000 0.000 0.000
La1 0.000 0.415 0.500
Ag1 0.201 0.623 0.201
Ag2 0.202 0.794 0.703
```

Main lines, in order of falling intensity (2θ = 10–80°):
d (Å), Rel. int., h k l
2.757, 100, 1 1 1
2.378, 83, 1 3 -1
2.411, 51, 2 0 -2
2.876, 44, 2 2 -1
2.741, 41, 2 2 0
2.353, 32, 3 1 0
5.482, 26, 1 1 0
1.496, 23, 4 4 -1
1.998, 19, 1 3 1
1.334, 16, 4 2 1
3.684, 15, 2 0 0
1.931, 14, 4 2 -1

=====

(3)
Computed PXRD pattern
Compound: RbCa2LaAg
Radiation: copper Kα
Structure: the GGA-PBE geometry in Alexandria
No peak broadening, texture or thermal motion is included.

Cell and atoms:
```
data_RbCa2LaAg
_cell_length_a 6.633
_cell_length_b 6.633
_cell_length_c 5.681
_cell_angle_alpha 90.00
_cell_angle_beta 90.00
_cell_angle_gamma 90.00
_symmetry_space_group_name_H-M 'P 4/m m m'
_symmetry_Int_Tables_number 123
_symmetry_space_group_name_Hall '-P 4 2'
loop_
_atom_site_label
_atom_site_fract_x
_atom_site_fract_y
_atom_site_fract_z
Rb1 0.000 0.000 0.000
Ca1 0.000 0.500 0.500
La1 0.500 0.500 0.500
Ag1 0.500 0.500 0.000
```

Main lines, in order of falling intensity (2θ = 10–80°):
d (Å), Rel. int., h k l
3.317, 100, 2 0 0
4.690, 81, 1 1 0
6.633, 76, 1 0 0
2.157, 59, 2 0 2
2.345, 38, 2 2 0
1.809, 33, 2 2 2
2.841, 33, 0 0 2
3.617, 32, 1 1 1
2.430, 30, 1 1 2
4.315, 26, 1 0 1
1.315, 23, 4 2 2
2.966, 22, 2 1 0

=====

(4)
Computed PXRD pattern
Compound: Li9Ca2Ag3
Radiation: copper Kα
Structure: the GGA-PBE geometry in Alexandria
No peak broadening, texture or thermal motion is included.

Cell and atoms:
```
data_Li9Ca2Ag3
_cell_length_a 13.811
_cell_length_b 8.447
_cell_length_c 9.857
_cell_angle_alpha 90.00
_cell_angle_beta 90.00
_cell_angle_gamma 90.00
_symmetry_space_group_name_H-M 'C m c m'
_symmetry_Int_Tables_number 63
_symmetry_space_group_name_Hall '-C 2c 2'
loop_
_atom_site_label
_atom_site_fract_x
_atom_site_fract_y
_atom_site_fract_z
Li1 0.000 0.159 0.250
Li2 0.000 0.339 0.520
Li3 0.108 0.463 0.250
Li4 0.169 0.177 0.080
Ca1 0.149 0.155 0.750
Ag1 0.000 0.000 0.000
Ag2 0.180 0.500 0.000
```

Main lines, in order of falling intensity (2θ = 10–80°):
d (Å), Rel. int., h k l
3.125, 100, 3 1 2
4.042, 57, 3 1 0
3.207, 51, 0 2 2
4.928, 39, 0 0 2
2.402, 38, 3 3 0
4.223, 36, 0 2 0
1.720, 22, 3 3 4
2.104, 21, 3 1 4
2.159, 21, 3 3 2
2.464, 19, 0 0 4
1.870, 19, 6 2 2
1.941, 14, 0 4 2

=====

(5)
Computed PXRD pattern
Compound: Li12CaAg6
Radiation: copper Kα
Structure: the GGA-PBE geometry in Alexandria
No peak broadening, texture or thermal motion is included.

Cell and atoms:
```
data_Li12CaAg6
_cell_length_a 11.7518
_cell_length_b 11.7518
_cell_length_c 9.3165
_cell_angle_alpha 90.00
_cell_angle_beta 90.00
_cell_angle_gamma 120.00
_symmetry_space_group_name_H-M 'R -3 m'
_symmetry_Int_Tables_number 166
_symmetry_space_group_name_Hall '-R 3 2"'
loop_
_atom_site_label
_atom_site_fract_x
_atom_site_fract_y
_atom_site_fract_z
Li1 0.0000 0.3887 0.0000
Li2 0.0882 0.1764 0.8289
Ca1 0.0000 0.0000 0.5000
Ag1 0.0373 0.5187 0.7495
```

Main lines, in order of falling intensity (2θ = 10–80°):
d (Å), Rel. int., h k l
3.436, 100, 2 0 2
2.938, 71, 2 2 0
2.118, 38, 0 2 4
3.556, 37, 2 1 1
4.236, 32, 0 1 2
5.876, 27, 1 1 0
2.966, 25, 1 2 2
2.233, 24, 0 4 2
2.265, 24, 3 2 1
1.443, 21, 5 2 3
1.989, 19, 0 5 1
2.291, 18, 3 0 3

=====

(6)
Computed PXRD pattern
Compound: Li6CaAg
Radiation: copper Kα
Structure: the GGA-PBE geometry in Alexandria
No peak broadening, texture or thermal motion is included.

Cell and atoms:
```
data_Li6CaAg
_cell_length_a 4.404
_cell_length_b 4.404
_cell_length_c 9.741
_cell_angle_alpha 90.00
_cell_angle_beta 90.00
_cell_angle_gamma 90.00
_symmetry_space_group_name_H-M 'P 4/m m m'
_symmetry_Int_Tables_number 123
_symmetry_space_group_name_Hall '-P 4 2'
loop_
_atom_site_label
_atom_site_fract_x
_atom_site_fract_y
_atom_site_fract_z
Li1 0.000 0.000 0.143
Li2 0.000 0.500 0.342
Ca1 0.500 0.500 0.000
Ag1 0.500 0.500 0.500
```

Main lines, in order of falling intensity (2θ = 10–80°):
d (Å), Rel. int., h k l
3.267, 100, 1 0 2
4.404, 89, 1 0 0
2.624, 57, 1 1 2
4.871, 56, 0 0 2
4.013, 38, 1 0 1
3.114, 37, 1 1 0
1.826, 35, 2 1 2
2.131, 32, 1 0 4
2.202, 23, 2 0 0
1.918, 21, 1 1 4
1.531, 21, 2 1 4
2.007, 20, 2 0 2

=====

(7)
Computed PXRD pattern
Compound: Li8CaAg2
Radiation: copper Kα
Structure: the GGA-PBE geometry in Alexandria
No peak broadening, texture or thermal motion is included.

Cell and atoms:
```
data_Li8CaAg2
_cell_length_a 5.844
_cell_length_b 5.844
_cell_length_c 17.969
_cell_angle_alpha 90.00
_cell_angle_beta 90.00
_cell_angle_gamma 90.00
_symmetry_space_group_name_H-M 'I 4/m m m'
_symmetry_Int_Tables_number 139
_symmetry_space_group_name_Hall '-I 4 2'
loop_
_atom_site_label
_atom_site_fract_x
_atom_site_fract_y
_atom_site_fract_z
Li1 0.247 0.247 0.156
Ca1 0.000 0.000 0.000
Ag1 0.000 0.500 0.250
```

Main lines, in order of falling intensity (2θ = 10–80°):
d (Å), Rel. int., h k l
3.754, 100, 1 1 2
2.450, 39, 2 0 4
2.425, 31, 1 1 6
4.492, 30, 0 0 4
4.133, 29, 1 1 0
3.041, 27, 1 1 4
1.810, 24, 3 1 2
2.922, 19, 2 0 0
2.779, 18, 2 0 2
1.573, 15, 3 1 6
2.091, 13, 2 0 6
2.066, 12, 2 2 0

=====

(8)
Computed PXRD pattern
Compound: Li2CaAg9
Radiation: copper Kα
Structure: the GGA-PBE geometry in Alexandria
No peak broadening, texture or thermal motion is included.

Cell and atoms:
```
data_Li2CaAg9
_cell_length_a 9.385
_cell_length_b 9.385
_cell_length_c 5.515
_cell_angle_alpha 90.00
_cell_angle_beta 90.00
_cell_angle_gamma 90.00
_symmetry_space_group_name_H-M 'P 4/m b m'
_symmetry_Int_Tables_number 127
_symmetry_space_group_name_Hall '-P 4 2ab'
loop_
_atom_site_label
_atom_site_fract_x
_atom_site_fract_y
_atom_site_fract_z
Li1 0.116 0.384 0.000
Ca1 0.000 0.000 0.000
Ag1 0.000 0.500 0.500
Ag2 0.060 0.205 0.500
Ag3 0.181 0.681 0.239
```

Main lines, in order of falling intensity (2θ = 10–80°):
d (Å), Rel. int., h k l
5.515, 100, 0 0 1
2.276, 88, 4 1 0
2.305, 67, 2 1 2
2.613, 50, 3 1 1
4.197, 38, 2 1 0
2.378, 36, 2 0 2
2.020, 36, 3 1 2
2.212, 34, 3 3 0
2.354, 21, 3 2 1
2.104, 19, 4 1 1
1.893, 18, 3 2 2
2.843, 17, 2 2 1

=====

(9)
Computed PXRD pattern
Compound: Li12CaAg4
Radiation: copper Kα
Structure: the GGA-PBE geometry in Alexandria
No peak broadening, texture or thermal motion is included.

Cell and atoms:
```
data_Li12CaAg4
_cell_length_a 9.060
_cell_length_b 9.060
_cell_length_c 9.060
_cell_angle_alpha 90.00
_cell_angle_beta 90.00
_cell_angle_gamma 90.00
_symmetry_space_group_name_H-M 'I m -3'
_symmetry_Int_Tables_number 204
_symmetry_space_group_name_Hall '-I 2 2 3'
loop_
_atom_site_label
_atom_site_fract_x
_atom_site_fract_y
_atom_site_fract_z
Li1 0.000 0.349 0.164
Ca1 0.000 0.000 0.000
Ag1 0.250 0.250 0.250
```

Main lines, in order of falling intensity (2θ = 10–80°):
d (Å), Rel. int., h k l
3.203, 100, 2 2 0
4.530, 83, 2 0 0
1.849, 44, 4 2 2
2.026, 42, 4 0 2
2.615, 26, 2 2 2
2.265, 19, 4 0 0
1.211, 18, 6 4 2
1.432, 17, 6 2 0
1.510, 16, 4 4 2
1.602, 12, 4 4 0
1.366, 11, 6 2 2
1.256, 8, 6 0 4

=====

(10)
Computed PXRD pattern
Compound: Li17Ca2Ag3
Radiation: copper Kα
Structure: the GGA-PBE geometry in Alexandria
No peak broadening, texture or thermal motion is included.

Cell and atoms:
```
data_Li17Ca2Ag3
_cell_length_a 10.5352
_cell_length_b 10.5352
_cell_length_c 15.1594
_cell_angle_alpha 90.00
_cell_angle_beta 90.00
_cell_angle_gamma 120.00
_symmetry_space_group_name_H-M 'R -3 m'
_symmetry_Int_Tables_number 166
_symmetry_space_group_name_Hall '-R 3 2"'
loop_
_atom_site_label
_atom_site_fract_x
_atom_site_fract_y
_atom_site_fract_z
Li1 0.0000 0.0000 0.0973
Li2 0.0000 0.2609 0.0000
Li3 0.0000 0.5000 0.5000
Li4 0.0128 0.5064 0.1729
Ca1 0.0000 0.0000 0.3317
Ag1 0.0000 0.5000 0.0000
```

Main lines, in order of falling intensity (2θ = 10–80°):
d (Å), Rel. int., h k l
4.368, 100, 0 2 1
5.053, 91, 0 0 3
7.817, 82, 1 0 1
3.909, 72, 2 0 2
2.634, 70, 2 2 0
2.336, 59, 2 2 3
1.823, 51, 2 2 6
5.830, 46, 0 1 2
2.526, 44, 0 0 6
2.915, 34, 0 2 4
3.363, 28, 2 1 1
3.139, 28, 1 2 2

=====

(11)
Computed PXRD pattern
Compound: Li2CaAg6
Radiation: copper Kα
Structure: the GGA-PBE geometry in Alexandria
No peak broadening, texture or thermal motion is included.

Cell and atoms:
```
data_Li2CaAg6
_cell_length_a 14.821
_cell_length_b 9.768
_cell_length_c 4.693
_cell_angle_alpha 90.00
_cell_angle_beta 90.00
_cell_angle_gamma 90.00
_symmetry_space_group_name_H-M 'C m c m'
_symmetry_Int_Tables_number 63
_symmetry_space_group_name_Hall '-C 2c 2'
loop_
_atom_site_label
_atom_site_fract_x
_atom_site_fract_y
_atom_site_fract_z
Li1 0.216 0.086 0.250
Ca1 0.000 0.257 0.250
Ag1 0.097 0.106 0.750
Ag2 0.099 0.411 0.750
Ag3 0.209 0.340 0.250
```

Main lines, in order of falling intensity (2θ = 10–80°):
d (Å), Rel. int., h k l
2.428, 100, 5 1 1
2.633, 78, 1 3 1
2.347, 51, 0 0 2
1.986, 44, 5 3 1
4.070, 29, 1 1 1
3.384, 24, 0 2 1
2.442, 21, 0 4 0
3.078, 19, 2 2 1
1.693, 19, 0 4 2
1.403, 17, 1 3 3
2.952, 16, 4 2 0
1.370, 15, 5 1 3

=====

(12)
Computed PXRD pattern
Compound: Li9Ca3Ag2
Radiation: copper Kα
Structure: the GGA-PBE geometry in Alexandria
No peak broadening, texture or thermal motion is included.

Cell and atoms:
```
data_Li9Ca3Ag2
_cell_length_a 4.692
_cell_length_b 10.441
_cell_length_c 13.278
_cell_angle_alpha 90.00
_cell_angle_beta 90.00
_cell_angle_gamma 90.00
_symmetry_space_group_name_H-M 'I m m m'
_symmetry_Int_Tables_number 71
_symmetry_space_group_name_Hall '-I 2 2'
loop_
_atom_site_label
_atom_site_fract_x
_atom_site_fract_y
_atom_site_fract_z
Li1 0.000 0.000 0.000
Li2 0.000 0.145 0.326
Li3 0.000 0.224 0.117
Ca1 0.000 0.500 0.000
Ca2 0.000 0.500 0.322
Ag1 0.000 0.285 0.500
```

Main lines, in order of falling intensity (2θ = 10–80°):
d (Å), Rel. int., h k l
2.739, 100, 1 2 3
6.639, 61, 0 0 2
3.373, 57, 1 2 1
4.424, 48, 1 0 1
4.104, 40, 0 2 2
4.280, 26, 1 1 0
2.213, 19, 0 0 6
2.346, 16, 2 0 0
2.576, 16, 1 3 2
2.311, 15, 1 0 5
2.113, 14, 1 2 5
3.320, 14, 0 0 4